Computed X-ray powder pattern
Compound: NbCrSi
Radiation: Cu Kα X-rays
Structure: DFT lattice parameters and positions (PBE)

Principal peaks in the range 2θ = 10–80°, in order of rising 2θ:
26.81°, I = 23
31.06°, I = 16
38.30°, I = 96
41.49°, I = 100
47.35°, I = 20
55.29°, I = 17
57.71°, I = 14
64.76°, I = 26
71.42°, I = 21
77.79°, I = 18

```
NbCrSi
1.0
6.6505 0.0000 0.0000
-3.3253 5.7595 0.0000
0.0000 0.0000 3.3223
Nb Cr Si
3 3 3
Direct
0.0000 0.5954 0.0000
0.4046 0.4046 0.0000
0.5954 0.0000 0.0000
0.0000 0.2536 0.5000
0.2536 0.0000 0.5000
0.7464 0.7464 0.5000
0.0000 0.0000 0.0000
0.3333 0.6667 0.5000
0.6667 0.3333 0.5000
```

=====

Computed X-ray powder pattern
Compound: Nb4Cr2Si5
Radiation: Cu Kα X-rays
Structure: DFT lattice parameters and positions (PBE)

Principal peaks in the range 2θ = 10–80°, in order of rising 2θ:
25.07°, I = 18
30.58°, I = 43
36.23°, I = 27
37.99°, I = 28
39.52°, I = 45
40.26°, I = 49
40.37°, I = 100
41.65°, I = 43
43.09°, I = 26
67.93°, I = 22

```
Nb4Cr2Si5
1.0
-3.9464 8.1469 2.4793
3.9464 -8.1469 2.4793
3.9464 8.1469 -2.4793
Nb Cr Si
8 4 10
Direct
0.0636 0.7442 0.8079
0.1434 0.1136 0.2570
0.3566 0.6136 0.9702
0.4364 0.2442 0.6806
0.5636 0.7558 0.3194
0.6434 0.3864 0.0298
0.8566 0.8864 0.7430
0.9364 0.2558 0.1921
0.0566 0.7500 0.3066
0.4434 0.7500 0.6934
0.5566 0.2500 0.3066
0.9434 0.2500 0.6934
0.0704 0.4179 0.4884
0.2179 0.7939 0.0118
0.2500 0.2500 0.0000
0.2821 0.2939 0.5759
0.4296 0.9179 0.3475
0.5704 0.0821 0.6525
0.7179 0.7061 0.4241
0.7500 0.7500 0.0000
0.7821 0.2061 0.9882
0.9296 0.5821 0.5116
```

=====

Computed X-ray powder pattern
Compound: ZrNbCr4
Radiation: Cu Kα X-rays
Structure: DFT lattice parameters and positions (PBE)

Principal peaks in the range 2θ = 10–80°, in order of rising 2θ:
21.82°, I = 2
36.01°, I = 50
42.50°, I = 100
44.49°, I = 23
56.90°, I = 1
64.74°, I = 17
69.20°, I = 28
76.37°, I = 22

```
ZrNbCr4
1.0
0.0000 3.5271 3.5271
3.5271 0.0000 3.5271
3.5271 3.5271 0.0000
Zr Nb Cr
1 1 4
Direct
0.0000 0.0000 0.0000
0.7500 0.7500 0.7500
0.3752 0.3752 0.3752
0.3752 0.3752 0.8744
0.3752 0.8744 0.3752
0.8744 0.3752 0.3752
```

=====

Computed X-ray powder pattern
Compound: NdCrSb3
Radiation: Cu Kα X-rays
Structure: DFT lattice parameters and positions (PBE)

Principal peaks in the range 2θ = 10–80°, in order of rising 2θ:
28.83°, I = 20
30.03°, I = 14
31.73°, I = 55
32.29°, I = 43
34.08°, I = 100
35.28°, I = 16
35.80°, I = 20
41.36°, I = 54
55.02°, I = 22
69.09°, I = 20

```
NdCrSb3
1.0
13.1784 0.0000 0.0000
0.0000 6.2403 0.0000
0.0000 0.0000 6.1093
Nd Cr Sb
4 4 12
Direct
0.1921 0.0049 0.2500
0.1921 0.4951 0.7500
0.8079 0.5049 0.2500
0.8079 0.9951 0.7500
0.4069 0.7500 0.0000
0.4069 0.7500 0.5000
0.5931 0.2500 0.0000
0.5931 0.2500 0.5000
0.0014 0.7500 0.0000
0.0014 0.7500 0.5000
0.2812 0.0011 0.7500
0.2812 0.4989 0.2500
0.4382 0.0997 0.2500
0.4382 0.4003 0.7500
0.5618 0.5997 0.2500
0.5618 0.9003 0.7500
0.7188 0.5011 0.7500
0.7188 0.9989 0.2500
0.9986 0.2500 0.0000
0.9986 0.2500 0.5000
```

=====

Computed X-ray powder pattern
Compound: NdCrSe3
Radiation: Cu Kα X-rays
Structure: DFT lattice parameters and positions (PBE)

Principal peaks in the range 2θ = 10–80°, in order of rising 2θ:
31.80°, I = 52
32.17°, I = 42
34.15°, I = 100
34.47°, I = 34
35.57°, I = 14
39.92°, I = 24
42.45°, I = 17
45.05°, I = 18
45.72°, I = 30
58.49°, I = 15

```
NdCrSe3
1.0
8.1423 0.0000 0.0000
0.0000 3.9688 0.0000
0.0000 0.0000 13.7303
Nd Cr Se
4 4 12
Direct
0.0966 0.2500 0.1711
0.4034 0.7500 0.6711
0.5966 0.2500 0.3289
0.9034 0.7500 0.8289
0.1613 0.7500 0.4487
0.3387 0.2500 0.9487
0.6613 0.7500 0.0513
0.8387 0.2500 0.5513
0.0135 0.7500 0.6090
0.1565 0.7500 0.0038
0.1894 0.2500 0.7879
0.3106 0.7500 0.2879
0.3435 0.2500 0.5038
0.4865 0.2500 0.1090
0.5135 0.7500 0.8910
0.6565 0.7500 0.4962
0.6894 0.2500 0.7121
0.8106 0.7500 0.2121
0.8435 0.2500 0.9962
0.9865 0.2500 0.3910
```

=====

Computed X-ray powder pattern
Compound: NdCr2Si2
Radiation: Cu Kα X-rays
Structure: DFT lattice parameters and positions (PBE)

Principal peaks in the range 2θ = 10–80°, in order of rising 2θ:
24.14°, I = 45
33.09°, I = 19
33.75°, I = 62
36.41°, I = 100
46.31°, I = 36
47.99°, I = 25
58.52°, I = 25
61.29°, I = 18
68.90°, I = 17
79.27°, I = 19

```
NdCr2Si2
1.0
-1.9604 1.9604 5.4138
1.9604 -1.9604 5.4138
1.9604 1.9604 -5.4138
Nd Cr Si
1 2 2
Direct
0.0000 0.0000 0.0000
0.2500 0.7500 0.5000
0.7500 0.2500 0.5000
0.3800 0.3800 0.0000
0.6200 0.6200 0.0000
```

=====

Computed X-ray powder pattern
Compound: Cr4Ni
Radiation: Cu Kα X-rays
Structure: DFT lattice parameters and positions (PBE)

Principal peaks in the range 2θ = 10–80°, in order of rising 2θ:
44.98°, I = 100
45.11°, I = 25
46.34°, I = 23
64.31°, I = 8
66.66°, I = 14

```
Cr4Ni
1.0
0.0000 1.9595 10.0484
1.4484 0.0000 10.0484
1.4484 1.9595 0.0000
Cr Ni
4 1
Direct
0.0989 0.0989 0.9011
0.3007 0.3007 0.6993
0.6993 0.6993 0.3007
0.9011 0.9011 0.0989
0.5000 0.5000 0.5000
```

=====

Computed X-ray powder pattern
Compound: Cr3Ni
Radiation: Cu Kα X-rays
Structure: DFT lattice parameters and positions (PBE)

Principal peaks in the range 2θ = 10–80°, in order of rising 2θ:
24.95°, I = 1
35.57°, I = 1
43.94°, I = 100
51.19°, I = 46
75.31°, I = 26

```
Cr3Ni
1.0
3.5693 0.0000 0.0000
0.0000 3.5693 0.0000
0.0000 0.0000 3.5693
Cr Ni
3 1
Direct
0.0000 0.0000 0.5000
0.0000 0.5000 0.0000
0.5000 0.0000 0.0000
0.5000 0.5000 0.5000
```

=====

Question: Number 4 is which compound?
Answer: NdCrSb3